# AgTePtO
Simulated X-ray diffraction stick pattern, λ = 1.5418 Å (Cu Kα). Input: a PBE-relaxed structure.

Cell and atoms:
```
data_AgTePtO
_chemical_formula_sum 'Ag8 Te8 Pt8 O8'
_symmetry_space_group_name_H-M 'P b c a'
_symmetry_Int_Tables_number 61
_cell_length_a 6.642
_cell_length_b 10.909
_cell_length_c 8.464
_cell_angle_alpha 90.00
_cell_angle_beta 90.00
_cell_angle_gamma 90.00
loop_
_symmetry_equiv_pos_as_xyz
'x,y,z'
'-x,-y,-z'
'-x+1/2,-y,z+1/2'
'x+1/2,y,-z+1/2'
'x+1/2,-y+1/2,-z'
'-x+1/2,y+1/2,z'
'-x,y+1/2,-z+1/2'
'x,-y+1/2,z+1/2'
loop_
_atom_site_label
_atom_site_type_symbol
_atom_site_fract_x
_atom_site_fract_y
_atom_site_fract_z
Ag1 Ag 0.241 0.100 0.020
Te1 Te 0.001 0.541 0.755
Pt1 Pt 0.003 0.710 0.249
O1 O 0.247 0.211 0.382
```

Main lines, sorted by position (10 to 80 degrees two-theta):
two_theta, I_rel, hkl
21.0, 39, 0 0 2
23.6, 29, 1 2 1
34.3, 100, 2 0 2
34.6, 39, 0 4 1
39.3, 25, 0 4 2
42.7, 24, 0 0 4
42.9, 19, 2 4 0
44.3, 39, 2 4 1
46.3, 19, 0 4 3
54.3, 19, 2 4 3